No. 1
Structure and theoretical powder XRD pattern of Sm2MnCoO6 (DFT lattice parameters and positions (PBE+U); λ = 1.5418 Å (Cu Kα)).
Peak positions follow from Bragg's law for the DFT cell and can differ from measured ones.

The 10 most intense peaks (5° ≤ 2θ ≤ 70°), by angle:
22.74 deg, I = 22.0
23.75 deg, I = 14.4
31.51 deg, I = 26.5
32.96 deg, I = 68.1
33.27 deg, I = 100.0
33.76 deg, I = 19.4
46.45 deg, I = 26.8
48.59 deg, I = 29.3
59.04 deg, I = 25.0
59.62 deg, I = 14.9

Structure:
abc: 5.392 5.679 9.173
angles: 90.00 125.24 90.00
Space group P2_1/c (No. 14)
Symmetry-distinct sites (fractional):
Sm1 0.233 0.066 0.250 (multiplicity 4)
Mn1 0.500 0.000 0.000 (multiplicity 2)
Co1 0.000 0.000 0.500 (multiplicity 2)
O1 0.148 0.206 0.953 (multiplicity 4)
O2 0.244 0.693 0.953 (multiplicity 4)
O3 0.343 0.025 0.751 (multiplicity 4)

---

No. 2
Structure and theoretical powder XRD pattern of Mn3Co3Te2O12 (DFT lattice parameters and positions (PBE+U); λ = 1.5418 Å (Cu Kα)).
Peak positions follow from Bragg's law for the DFT cell and can differ from measured ones.

The 10 most intense peaks (5° ≤ 2θ ≤ 70°), by angle:
20.14 deg, I = 81.9
24.80 deg, I = 20.9
28.62 deg, I = 75.2
32.07 deg, I = 81.2
35.22 deg, I = 100.0
35.34 deg, I = 21.4
46.02 deg, I = 75.8
55.00 deg, I = 53.4
55.10 deg, I = 25.3
55.23 deg, I = 24.4

Structure:
abc: 8.8351 8.8351 10.7710
angles: 90.00 90.00 120.00
Space group R3 (No. 146, hexagonal axes)
Symmetry-distinct sites (fractional):
Mn1 0.1100 0.7059 0.0000 (multiplicity 9)
Co1 0.0433 0.2657 0.7594 (multiplicity 9)
Te1 0.0000 0.0000 0.0416 (multiplicity 3)
Te2 0.0000 0.0000 0.5499 (multiplicity 3)
O1 0.0249 0.1860 0.4373 (multiplicity 9)
O2 0.0268 0.2005 0.9458 (multiplicity 9)
O3 0.1696 0.7052 0.8077 (multiplicity 9)
O4 0.1772 0.6956 0.3304 (multiplicity 9)

---

No. 3
Structure and theoretical powder XRD pattern of UMnCo2O6 (DFT lattice parameters and positions (PBE+U); λ = 1.5418 Å (Cu Kα)).
Peak positions follow from Bragg's law for the DFT cell and can differ from measured ones.

The 10 most intense peaks (5° ≤ 2θ ≤ 70°), by angle:
14.77 deg, I = 66.1
20.95 deg, I = 40.4
21.79 deg, I = 100.0
26.43 deg, I = 35.6
29.80 deg, I = 64.7
37.22 deg, I = 49.1
40.25 deg, I = 24.5
42.65 deg, I = 43.8
48.39 deg, I = 45.9
63.27 deg, I = 25.0

Structure:
abc: 5.996 5.996 4.079
angles: 90.00 90.00 90.00
Space group P4/mmm (No. 123)
Symmetry-distinct sites (fractional):
U1 0.000 0.000 0.000 (multiplicity 1)
Mn1 0.500 0.500 0.000 (multiplicity 1)
Co1 0.000 0.500 0.000 (multiplicity 2)
O1 0.000 0.000 0.500 (multiplicity 1)
O2 0.249 0.249 0.000 (multiplicity 4)
O3 0.500 0.500 0.500 (multiplicity 1)